The following is a calculated XRD peak list of Er2ZnGa4Pt3. It was derived from a structure optimized by DFT (PBE), using Cu Kα.
No peak broadening, texture or thermal motion is included.

Structure:
```
10
Lattice="4.0484 0.0000 0.0000 0.0000 4.0484 0.0000 0.0000 0.0000 11.2696" Properties=species:S:1:pos:R:3 pbc="T T T"
Er 0.0000 2.0242 2.8061
Er 2.0242 0.0000 8.4635
Zn 0.0000 0.0000 5.6348
Ga 0.0000 0.0000 0.0000
Ga 0.0000 2.0242 7.1869
Ga 2.0242 0.0000 4.0827
Ga 2.0242 2.0242 0.0000
Pt 0.0000 2.0242 9.6602
Pt 2.0242 0.0000 1.6094
Pt 2.0242 2.0242 5.6348
```

The 10 most intense peaks (2θ from 5° to 70°), most intense first:
hkl 1 1 2, 35.2 deg, rel. 100
hkl 1 0 3, 32.5 deg, rel. 59
hkl 2 0 0, 44.8 deg, rel. 57
hkl 1 0 5, 46.1 deg, rel. 47
hkl 2 1 5, 66.2 deg, rel. 32
hkl 2 1 3, 56.4 deg, rel. 25
hkl 1 1 4, 45.2 deg, rel. 22
hkl 1 1 0, 31.2 deg, rel. 19
hkl 2 2 0, 65.2 deg, rel. 19
hkl 1 0 2, 27.1 deg, rel. 17



The following is a calculated XRD peak list of Ho3OsBr3. It was derived from a structure optimized by DFT (PBE), using Cu Kα.
No peak broadening, texture or thermal motion is included.

Structure:
```
14
Lattice="8.4739 0.0000 0.0000 0.0000 4.1523 0.0000 -0.3135 0.0000 11.7972" Properties=species:S:1:pos:R:3 pbc="T T T"
Ho 0.7198 1.0381 3.7949
Ho 1.0261 1.0381 10.1474
Ho 2.1634 3.1142 1.1926
Ho 5.9970 1.0381 10.6046
Ho 7.1343 3.1142 1.6498
Ho 7.4406 3.1142 8.0023
Os 0.3485 1.0381 1.0673
Os 7.8119 3.1142 10.7299
Br 0.9223 1.0381 7.0775
Br 2.7108 3.1142 4.1825
Br 3.4290 3.1142 10.2701
Br 4.7314 1.0381 1.5271
Br 5.4496 1.0381 7.6147
Br 7.2381 3.1142 4.7197
```

The 10 most intense peaks (2θ from 5° to 70°), most intense first:
hkl 0 0 1, 7.5 deg, rel. 100
hkl 1 0 0, 10.4 deg, rel. 83
hkl 2 1 0, 30.1 deg, rel. 53
hkl 0 0 4, 30.3 deg, rel. 28
hkl 2 1 -4, 42.8 deg, rel. 25
hkl 2 1 1, 31.2 deg, rel. 23
hkl 0 2 0, 43.6 deg, rel. 22
hkl 3 1 0, 38.6 deg, rel. 15
hkl 2 1 -2, 33.6 deg, rel. 15
hkl 1 0 -1, 12.7 deg, rel. 15



The following is a calculated XRD peak list of NiRuPt6. It was derived from a structure optimized by DFT (PBE), using Cu Kα.
No peak broadening, texture or thermal motion is included.

Structure:
```
16
Lattice="8.7833 0.0000 0.0000 0.0000 3.9058 0.0000 -3.4703 0.0000 6.9754" Properties=species:S:1:pos:R:3 pbc="T T T"
Ni 0.0000 0.0000 0.0000
Ni 4.3917 1.9529 0.0000
Ru -1.7352 0.0000 3.4877
Ru 2.6565 1.9529 3.4877
Pt -2.5953 1.9529 5.2334
Pt 0.8792 0.0000 2.5959
Pt 1.7607 1.9529 0.8553
Pt -0.8394 0.0000 6.1201
Pt 0.0422 1.9529 4.3795
Pt 3.5166 0.0000 1.7420
Pt 1.7964 0.0000 5.2334
Pt 5.2708 1.9529 2.5959
Pt 6.1524 0.0000 0.8553
Pt 3.5523 1.9529 6.1201
Pt 4.4338 0.0000 4.3795
Pt 7.9083 1.9529 1.7420
```

The 10 most intense peaks (2θ from 5° to 70°), most intense first:
hkl 1 1 2, 39.9 deg, rel. 100
hkl 4 0 0, 46.2 deg, rel. 17
hkl 0 2 0, 46.5 deg, rel. 16
hkl 2 0 -4, 46.6 deg, rel. 16
hkl 4 2 0, 67.6 deg, rel. 16
hkl 2 2 -4, 68.0 deg, rel. 11
hkl 2 0 -2, 25.5 deg, rel. 8
hkl 2 0 4, 67.8 deg, rel. 5
hkl 2 0 0, 22.6 deg, rel. 3
hkl 3 1 0, 41.5 deg, rel. 2



What did the second record say?
The following is a calculated XRD peak list of Ho3OsBr3. It was derived from a structure optimized by DFT (PBE), using Cu Kα.
No peak broadening, texture or thermal motion is included.

Structure:
```
14
Lattice="8.4739 0.0000 0.0000 0.0000 4.1523 0.0000 -0.3135 0.0000 11.7972" Properties=species:S:1:pos:R:3 pbc="T T T"
Ho 0.7198 1.0381 3.7949
Ho 1.0261 1.0381 10.1474
Ho 2.1634 3.1142 1.1926
Ho 5.9970 1.0381 10.6046
Ho 7.1343 3.1142 1.6498
Ho 7.4406 3.1142 8.0023
Os 0.3485 1.0381 1.0673
Os 7.8119 3.1142 10.7299
Br 0.9223 1.0381 7.0775
Br 2.7108 3.1142 4.1825
Br 3.4290 3.1142 10.2701
Br 4.7314 1.0381 1.5271
Br 5.4496 1.0381 7.6147
Br 7.2381 3.1142 4.7197
```

The 10 most intense peaks (2θ from 5° to 70°), most intense first:
hkl 0 0 1, 7.5 deg, rel. 100
hkl 1 0 0, 10.4 deg, rel. 83
hkl 2 1 0, 30.1 deg, rel. 53
hkl 0 0 4, 30.3 deg, rel. 28
hkl 2 1 -4, 42.8 deg, rel. 25
hkl 2 1 1, 31.2 deg, rel. 23
hkl 0 2 0, 43.6 deg, rel. 22
hkl 3 1 0, 38.6 deg, rel. 15
hkl 2 1 -2, 33.6 deg, rel. 15
hkl 1 0 -1, 12.7 deg, rel. 15